Entry 1:
Li3In5Ag: computed powder diffractogram (a wavelength of 1.5418 Å), based on DFT lattice parameters and positions (GGA-PBE).
Kinematic intensities with the Lorentz-polarization factor, no thermal factor.

Largest 10 diffraction maxima, by angle, 10° ≤ 2θ ≤ 90°:
2θ 21.31, 4.170 Å, intensity 53
2θ 25.01, 3.560 Å, intensity 33
2θ 30.28, 2.952 Å, intensity 61
2θ 33.11, 2.705 Å, intensity 25
2θ 37.37, 2.406 Å, intensity 100
2θ 43.35, 2.087 Å, intensity 11
2θ 45.45, 1.996 Å, intensity 23
2θ 50.72, 1.800 Å, intensity 18
2θ 58.53, 1.577 Å, intensity 21
2θ 60.25, 1.536 Å, intensity 10

Structure:
abc: 8.3378 8.3378 8.3378
angles: 119.90 119.90 90.18
Element x y z (fractional)
Li: 0.1042 0.6042 0.7083
Li: 0.2500 0.2500 0.0000
Li: 0.3958 0.1042 0.5000
Li: 0.6042 0.8958 0.5000
Li: 0.7500 0.7500 0.0000
Li: 0.8958 0.3958 0.2917
In: 0.0000 0.0000 0.0000
In: 0.0708 0.1673 0.5000
In: 0.1673 0.6673 0.0964
In: 0.3327 0.4292 0.5000
In: 0.4292 0.9292 0.0964
In: 0.5000 0.5000 0.0000
In: 0.5708 0.0708 0.9036
In: 0.6673 0.5708 0.5000
In: 0.8327 0.3327 0.9036
In: 0.9292 0.8327 0.5000
Ag: 0.2500 0.7500 0.5000
Ag: 0.7500 0.2500 0.5000

=====

Entry 2:
CsRe4S8: computed powder diffractogram (a wavelength of 1.5418 Å), based on DFT lattice parameters and positions (GGA-PBE).
Kinematic intensities with the Lorentz-polarization factor, no thermal factor.

Largest 10 diffraction maxima, by angle, 10° ≤ 2θ ≤ 90°:
2θ 15.27, 5.801 Å, intensity 70
2θ 20.47, 4.339 Å, intensity 46
2θ 22.27, 3.992 Å, intensity 98
2θ 24.15, 3.686 Å, intensity 71
2θ 31.41, 2.848 Å, intensity 100
2θ 31.82, 2.812 Å, intensity 50
2θ 39.78, 2.266 Å, intensity 47
2θ 42.09, 2.147 Å, intensity 45
2θ 47.68, 1.907 Å, intensity 70
2θ 54.88, 1.673 Å, intensity 48

Structure:
abc: 8.7374 8.7374 11.6031
angles: 130.67 130.67 21.86
Element x y z (fractional)
Cs: 0.0000 0.0000 0.0000
Re: 0.1344 0.1344 0.4691
Re: 0.3247 0.3247 0.1397
Re: 0.6753 0.6753 0.8603
Re: 0.8656 0.8656 0.5309
S: 0.0404 0.0404 0.7483
S: 0.2960 0.2960 0.9118
S: 0.3274 0.3274 0.6463
S: 0.3836 0.3836 0.4070
S: 0.6164 0.6164 0.5930
S: 0.6726 0.6726 0.3537
S: 0.7040 0.7040 0.0882
S: 0.9596 0.9596 0.2517